Diffraction record for Tm3Ga5Ni. The powder diffractogram is computed, not measured: it uses a crystal structure in Alexandria, relaxed with GGA-PBE and Cu Kα.

```
data_Tm3Ga5Ni
_cell_length_a 6.8153
_cell_length_b 6.8153
_cell_length_c 4.2016
_cell_angle_alpha 90.00
_cell_angle_beta 90.00
_cell_angle_gamma 120.00
_space_group_name_H-M_alt 'P -6 2 m'
_space_group_IT_number 189
_space_group_name_Hall 'P -6 -2'
loop_
_atom_site_label
_atom_site_type_symbol
_atom_site_fract_x
_atom_site_fract_y
_atom_site_fract_z
Tm1 Tm 0.0000 0.5937 0.0000
Ga1 Ga 0.0000 0.2359 0.5000
Ga2 Ga 0.3333 0.6667 0.5000
Ni1 Ni 0.0000 0.0000 0.0000
```

Most intense lines, 5 to 70 degrees two-theta, low angle first:
d [Å]	2θ (°)	intensity
3.408	26.2	16
2.647	33.9	100
2.415	37.2	70
2.231	40.4	36
2.101	43.1	27
1.969	46.1	28
1.637	56.2	13
1.529	60.5	22
1.525	60.7	25
1.436	64.9	12

Diffraction record for BaGe2I6. The powder diffractogram is computed, not measured: it uses a crystal structure in Alexandria, relaxed with GGA-PBE and Cu Kα.

```
data_BaGe2I6
_cell_length_a 8.1806
_cell_length_b 8.1806
_cell_length_c 26.8719
_cell_angle_alpha 90.00
_cell_angle_beta 90.00
_cell_angle_gamma 120.00
_space_group_name_H-M_alt 'R 3'
_space_group_IT_number 146
_space_group_name_Hall 'R 3'
loop_
_atom_site_label
_atom_site_type_symbol
_atom_site_fract_x
_atom_site_fract_y
_atom_site_fract_z
Ba1 Ba 0.0000 0.0000 0.0000
Ge1 Ge 0.0000 0.0000 0.6141
Ge2 Ge 0.0000 0.0000 0.7195
I1 I 0.9999 0.3788 0.2427
I2 I 0.9996 0.6163 0.4249
```

Most intense lines, 5 to 70 degrees two-theta, low angle first:
d [Å]	2θ (°)	intensity
6.850	12.9	28
6.267	14.1	13
4.479	19.8	27
3.721	23.9	100
3.020	29.6	27
2.958	30.2	9
2.412	37.3	24
2.362	38.1	25
2.089	43.3	11
1.994	45.5	11

Diffraction record for Sm7Ir2Pb2. The powder diffractogram is computed, not measured: it uses a crystal structure in Alexandria, relaxed with GGA-PBE and Cu Kα.

```
data_Sm7Ir2Pb2
_cell_length_a 8.487
_cell_length_b 11.145
_cell_length_c 7.306
_cell_angle_alpha 90.00
_cell_angle_beta 90.00
_cell_angle_gamma 90.00
_space_group_name_H-M_alt 'C m m m'
_space_group_IT_number 65
_space_group_name_Hall '-C 2 2'
loop_
_atom_site_label
_atom_site_type_symbol
_atom_site_fract_x
_atom_site_fract_y
_atom_site_fract_z
Sm1 Sm 0.000 0.000 0.000
Sm2 Sm 0.000 0.500 0.232
Sm3 Sm 0.250 0.250 0.244
Ir1 Ir 0.000 0.283 0.000
Pb1 Pb 0.185 0.000 0.500
```

Most intense lines, 5 to 70 degrees two-theta, low angle first:
d [Å]	2θ (°)	intensity
4.431	20.0	41
3.669	24.3	50
3.213	27.8	30
2.786	32.1	54
2.490	36.1	37
2.479	36.2	100
2.219	40.7	19
2.151	42.0	19
1.826	49.9	18
1.543	60.0	17

Diffraction record for TlCl2O2. The powder diffractogram is computed, not measured: it uses a crystal structure in Alexandria, relaxed with GGA-PBE and Cu Kα.

```
data_TlCl2O2
_cell_length_a 4.315
_cell_length_b 4.315
_cell_length_c 26.367
_cell_angle_alpha 90.00
_cell_angle_beta 90.00
_cell_angle_gamma 90.00
_space_group_name_H-M_alt 'I 41/a m d'
_space_group_IT_number 141
loop_
_space_group_symop_operation_xyz
'x,y,z'
'-x,-y,-z'
'-y+1/4,x+3/4,z+1/4'
'y+1/4,-x+3/4,-z+1/4'
'-x+1/2,-y,z+1/2'
'x+1/2,y,-z+1/2'
'y+1/4,-x+1/4,z+3/4'
'-y+1/4,x+1/4,-z+3/4'
'x,-y,-z'
'-x,y,z'
'-y+1/4,-x+1/4,-z+3/4'
'y+1/4,x+1/4,z+3/4'
'-x+1/2,y,-z+1/2'
'x+1/2,-y,z+1/2'
'y+1/4,x+3/4,-z+1/4'
'-y+1/4,-x+3/4,z+1/4'
'x+1/2,y+1/2,z+1/2'
'-x+1/2,-y+1/2,-z+1/2'
'-y+3/4,x+1/4,z+3/4'
'y+3/4,-x+1/4,-z+3/4'
'-x,-y+1/2,z'
'x,y+1/2,-z'
'y+3/4,-x+3/4,z+1/4'
'-y+3/4,x+3/4,-z+1/4'
'x+1/2,-y+1/2,-z+1/2'
'-x+1/2,y+1/2,z+1/2'
'-y+3/4,-x+3/4,-z+1/4'
'y+3/4,x+3/4,z+1/4'
'-x,y+1/2,-z'
'x,-y+1/2,z'
'y+3/4,x+1/4,-z+3/4'
'-y+3/4,-x+1/4,z+3/4'
loop_
_atom_site_label
_atom_site_type_symbol
_atom_site_fract_x
_atom_site_fract_y
_atom_site_fract_z
Tl1 Tl 0.000 0.250 0.375
Cl1 Cl 0.000 0.250 0.196
O1 O 0.000 0.250 0.100
```

Most intense lines, 5 to 70 degrees two-theta, low angle first:
d [Å]	2θ (°)	intensity
6.592	13.4	100
4.259	20.9	84
3.874	23.0	26
3.340	26.7	49
2.838	31.5	31
2.506	35.8	49
2.158	41.9	25
2.095	43.2	22
2.051	44.2	21
1.995	45.5	20